Starting from a structure optimized by DFT (PBE), the X-ray powder pattern of Cd5HgRh2 was computed for Cu Ka.
Kinematic intensities with the Lorentz-polarization factor, no thermal factor.

Cell and atoms:
```
data_Cd5HgRh2
_chemical_formula_sum 'Cd10 Hg2 Rh4'
_cell_length_a 4.5432
_cell_length_b 8.5022
_cell_length_c 8.6401
_cell_angle_alpha 90.00
_cell_angle_beta 90.00
_cell_angle_gamma 90.00
_symmetry_space_group_name_H-M 'I m m m'
_symmetry_Int_Tables_number 71
_symmetry_space_group_name_Hall '-I 2 2'
loop_
_atom_site_label
_atom_site_type_symbol
_atom_site_fract_x
_atom_site_fract_y
_atom_site_fract_z
Cd1 Cd 0.0000 0.0000 0.0000
Cd2 Cd 0.0000 0.3278 0.3184
Hg1 Hg 0.0000 0.5000 0.0000
Rh1 Rh 0.0000 0.0000 0.3158
```

Largest 10 diffraction maxima, low angle first, 2θ = 15–90°:
2θ (°), I/Imax, hkl
29.5, 23.0, 0 2 2
30.6, 41.1, 1 2 1
33.3, 18.9, 0 3 1
37.0, 100.0, 1 0 3
37.4, 35.7, 1 3 0
39.7, 43.5, 2 0 0
43.1, 39.5, 1 3 2
44.9, 18.8, 0 3 3
61.4, 19.7, 2 3 3
78.0, 21.3, 1 6 3

Starting from a structure optimized by DFT (PBE), the X-ray powder pattern of SmAl2GaCu2 was computed for Cu Ka.
Kinematic intensities with the Lorentz-polarization factor, no thermal factor.

Cell and atoms:
```
data_SmAl2GaCu2
_chemical_formula_sum 'Sm1 Al2 Ga1 Cu2'
_cell_length_a 4.4833
_cell_length_b 4.4833
_cell_length_c 5.6279
_cell_angle_alpha 90.00
_cell_angle_beta 90.00
_cell_angle_gamma 90.00
_symmetry_space_group_name_H-M 'P 4/m m m'
_symmetry_Int_Tables_number 123
_symmetry_space_group_name_Hall '-P 4 2'
loop_
_atom_site_label
_atom_site_type_symbol
_atom_site_fract_x
_atom_site_fract_y
_atom_site_fract_z
Sm1 Sm 0.0000 0.0000 0.0000
Al1 Al 0.5000 0.5000 0.2368
Ga1 Ga 0.0000 0.0000 0.5000
Cu1 Cu 0.0000 0.5000 0.5000
```

Largest 10 diffraction maxima, low angle first, 2θ = 15–90°:
2θ (°), I/Imax, hkl
19.8, 93.3, 1 0 0
28.1, 27.5, 1 1 0
31.8, 49.6, 0 0 2
32.4, 95.6, 1 1 1
37.7, 100.0, 1 0 2
40.2, 94.4, 2 0 0
52.2, 48.0, 2 0 2
56.3, 61.7, 2 1 2
58.2, 30.9, 2 2 0
80.6, 22.9, 2 0 4

Starting from a structure optimized by DFT (PBE), the X-ray powder pattern of Sr2GdBi was computed for Cu Ka.
Kinematic intensities with the Lorentz-polarization factor, no thermal factor.

Cell and atoms:
```
data_Sr2GdBi
_chemical_formula_sum 'Sr6 Gd3 Bi3'
_cell_length_a 3.9488
_cell_length_b 3.9488
_cell_length_c 37.0285
_cell_angle_alpha 90.00
_cell_angle_beta 90.00
_cell_angle_gamma 120.00
_symmetry_space_group_name_H-M 'R -3 m'
_symmetry_Int_Tables_number 166
_symmetry_space_group_name_Hall '-R 3 2"'
loop_
_atom_site_label
_atom_site_type_symbol
_atom_site_fract_x
_atom_site_fract_y
_atom_site_fract_z
Sr1 Sr 0.0000 0.0000 0.0983
Gd1 Gd 0.0000 0.0000 0.0000
Bi1 Bi 0.0000 0.0000 0.5000
```

Largest 10 diffraction maxima, low angle first, 2θ = 15–90°:
2θ (°), I/Imax, hkl
26.5, 100.0, 0 1 2
27.8, 24.7, 1 0 4
28.8, 24.2, 0 1 5
28.9, 29.0, 0 0 12
32.6, 54.3, 0 1 8
35.7, 75.8, 1 0 10
46.0, 37.6, 1 1 0
55.2, 29.1, 1 1 12
56.5, 21.2, 0 1 20
59.6, 17.4, 0 2 10

Starting from a structure optimized by DFT (PBE), the X-ray powder pattern of Ba2Na3Li was computed for Cu Ka.
Kinematic intensities with the Lorentz-polarization factor, no thermal factor.

Cell and atoms:
```
data_Ba2Na3Li
_chemical_formula_sum 'Ba2 Na3 Li1'
_cell_length_a 4.5132
_cell_length_b 5.8398
_cell_length_c 10.2334
_cell_angle_alpha 90.00
_cell_angle_beta 90.00
_cell_angle_gamma 90.00
_symmetry_space_group_name_H-M 'P m m 2'
_symmetry_Int_Tables_number 25
_symmetry_space_group_name_Hall 'P 2 -2'
loop_
_atom_site_label
_atom_site_type_symbol
_atom_site_fract_x
_atom_site_fract_y
_atom_site_fract_z
Ba1 Ba 0.0000 0.0000 0.0000
Ba2 Ba 0.0000 0.5000 0.4642
Na1 Na 0.5000 0.0000 0.6416
Na2 Na 0.5000 0.5000 0.1518
Na3 Na 0.5000 0.5000 0.8130
Li1 Li 0.5000 0.0000 0.3156
```

Largest 10 diffraction maxima, low angle first, 2θ = 15–90°:
2θ (°), I/Imax, hkl
17.3, 35.5, 0 0 2
17.5, 72.2, 0 1 1
19.7, 18.7, 1 0 0
26.3, 48.6, 1 0 2
26.4, 100.0, 1 1 1
30.3, 41.2, 0 1 3
30.6, 23.4, 0 2 0
40.8, 29.7, 1 2 2
43.9, 20.3, 2 1 1
51.0, 18.7, 2 1 3

Starting from a structure optimized by DFT (PBE), the X-ray powder pattern of Na2PmGeO4 was computed for Cu Ka.
Kinematic intensities with the Lorentz-polarization factor, no thermal factor.

Cell and atoms:
```
data_Na2PmGeO4
_chemical_formula_sum 'Na4 Pm2 Ge2 O8'
_cell_length_a 10.8080
_cell_length_b 4.5853
_cell_length_c 4.9564
_cell_angle_alpha 90.00
_cell_angle_beta 116.93
_cell_angle_gamma 90.00
_symmetry_space_group_name_H-M 'C 1 m 1'
_symmetry_Int_Tables_number 8
_symmetry_space_group_name_Hall 'C -2y'
loop_
_atom_site_label
_atom_site_type_symbol
_atom_site_fract_x
_atom_site_fract_y
_atom_site_fract_z
Na1 Na 0.0000 0.0000 0.0000
Na2 Na 0.2360 0.5000 0.2341
Pm1 Pm 0.4949 0.0000 0.5006
Ge1 Ge 0.2541 0.0000 0.7823
O1 O 0.0340 0.0000 0.5291
O2 O 0.2412 0.5000 0.7172
O3 O 0.2577 0.0000 0.1544
O4 O 0.4687 0.0000 0.9588
```

Largest 10 diffraction maxima, low angle first, 2θ = 15–90°:
2θ (°), I/Imax, hkl
20.1, 38.1, 0 0 1
20.2, 63.7, 2 0 -1
21.5, 100.0, 1 1 0
32.4, 75.8, 1 1 1
32.5, 78.5, 3 1 -1
36.2, 65.8, 2 0 -2
37.3, 62.0, 4 0 0
39.3, 57.9, 0 2 0
54.5, 37.8, 2 2 -2
55.3, 36.9, 4 2 0

Starting from a structure optimized by DFT (PBE), the X-ray powder pattern of KZrP4 was computed for Cu Ka.
Kinematic intensities with the Lorentz-polarization factor, no thermal factor.

Cell and atoms:
```
data_KZrP4
_chemical_formula_sum 'K4 Zr4 P16'
_cell_length_a 7.5610
_cell_length_b 7.5610
_cell_length_c 7.5610
_cell_angle_alpha 90.00
_cell_angle_beta 90.00
_cell_angle_gamma 90.00
_symmetry_space_group_name_H-M 'F -4 3 m'
_symmetry_Int_Tables_number 216
_symmetry_space_group_name_Hall 'F -4 2 3'
loop_
_atom_site_label
_atom_site_type_symbol
_atom_site_fract_x
_atom_site_fract_y
_atom_site_fract_z
K1 K 0.0000 0.0000 0.0000
Zr1 Zr 0.2500 0.2500 0.2500
P1 P 0.1187 0.1187 0.6187
```

Largest 10 diffraction maxima, low angle first, 2θ = 15–90°:
2θ (°), I/Imax, hkl
20.3, 21.7, 1 1 1
33.5, 57.4, 2 2 0
39.5, 100.0, 3 1 1
41.4, 19.8, 2 2 2
59.9, 19.5, 4 2 2
64.0, 29.9, 3 3 3
70.4, 20.9, 4 4 0
80.3, 7.6, 6 2 0
83.9, 10.2, 5 3 3
85.1, 7.1, 6 2 2

Starting from a structure optimized by DFT (PBE), the X-ray powder pattern of BiSeO3 was computed for Cu Ka.
Kinematic intensities with the Lorentz-polarization factor, no thermal factor.

Cell and atoms:
```
data_BiSeO3
_chemical_formula_sum 'Bi2 Se2 O6'
_cell_length_a 4.4819
_cell_length_b 5.2600
_cell_length_c 6.5592
_cell_angle_alpha 90.00
_cell_angle_beta 106.15
_cell_angle_gamma 90.00
_symmetry_space_group_name_H-M 'P 1 21/m 1'
_symmetry_Int_Tables_number 11
_symmetry_space_group_name_Hall '-P 2yb'
loop_
_atom_site_label
_atom_site_type_symbol
_atom_site_fract_x
_atom_site_fract_y
_atom_site_fract_z
Bi1 Bi 0.1442 0.2500 0.3501
Se1 Se 0.4571 0.2500 0.8869
O1 O 0.1690 0.7500 0.1293
O2 O 0.2892 0.0073 0.6469
```

Largest 10 diffraction maxima, low angle first, 2θ = 15–90°:
2θ (°), I/Imax, hkl
22.0, 29.0, 0 1 1
26.8, 54.0, 1 1 0
27.5, 100.0, 1 1 -1
28.2, 41.3, 1 0 1
33.1, 92.2, 0 1 2
34.1, 36.8, 0 2 0
40.3, 29.4, 2 0 -1
44.8, 38.5, 1 2 1
46.1, 26.2, 1 2 -2
56.6, 25.4, 1 1 3

Starting from a structure optimized by DFT (PBE), the X-ray powder pattern of SrTeRh was computed for Cu Ka.
Kinematic intensities with the Lorentz-polarization factor, no thermal factor.

Cell and atoms:
```
data_SrTeRh
_chemical_formula_sum 'Sr4 Te4 Rh4'
_cell_length_a 4.5078
_cell_length_b 7.7376
_cell_length_c 9.1758
_cell_angle_alpha 90.00
_cell_angle_beta 90.00
_cell_angle_gamma 90.00
_symmetry_space_group_name_H-M 'C m c m'
_symmetry_Int_Tables_number 63
_symmetry_space_group_name_Hall '-C 2c 2'
loop_
_atom_site_label
_atom_site_type_symbol
_atom_site_fract_x
_atom_site_fract_y
_atom_site_fract_z
Sr1 Sr 0.0000 0.0000 0.0000
Te1 Te 0.0000 0.3336 0.2500
Rh1 Rh 0.0000 0.3314 0.7500
```

Largest 10 diffraction maxima, low angle first, 2θ = 15–90°:
2θ (°), I/Imax, hkl
19.3, 37.1, 0 0 2
30.1, 100.0, 1 1 2
30.2, 50.8, 0 2 2
39.3, 29.8, 0 0 4
40.0, 28.3, 2 0 0
40.3, 55.5, 1 3 0
45.1, 15.9, 1 3 2
50.9, 23.1, 2 2 2
57.3, 19.5, 2 0 4
57.5, 38.5, 1 3 4